# K3Ti4Si3O20
Calculated X-ray powder pattern, Cu Kα (λ = 1.5418 Å). Input: a GGA-PBE-relaxed structure.

Structural model:
```
data_K3Ti4Si3O20
_chemical_formula_sum 'K3 Ti4 Si3 O20'
_space_group_name_H-M_alt 'P -4 3 m'
_space_group_IT_number 215
_space_group_name_Hall 'P -4 2 3'
_cell_length_a 7.8728
_cell_length_b 7.8728
_cell_length_c 7.8728
_cell_angle_alpha 90.00
_cell_angle_beta 90.00
_cell_angle_gamma 90.00
loop_
_atom_site_label
_atom_site_fract_x
_atom_site_fract_y
_atom_site_fract_z
K1 0.0000 0.0000 0.5000
Ti1 0.3460 0.3460 0.6540
Si1 0.0000 0.5000 0.5000
O1 0.1151 0.3766 0.6234
O2 0.2832 0.2832 0.2832
O3 0.3876 0.3876 0.3876
```

Principal peaks in the range 2θ from 10° to 90°, in order of rising 2θ:
2theta  intensity
11.24  100
19.53  7
27.76  16
32.16  28
34.17  15
36.08  15
37.90  7
47.62  7
57.33  7
67.27  9


# KUSiO6
Calculated X-ray powder pattern, Cu Kα (λ = 1.5418 Å). Input: a GGA-PBE-relaxed structure.

Structural model:
```
data_KUSiO6
_chemical_formula_sum 'K1 U1 Si1 O6'
_space_group_name_H-M_alt 'P 3 1 2'
_space_group_IT_number 149
_cell_length_a 5.2193
_cell_length_b 5.2193
_cell_length_c 6.0156
_cell_angle_alpha 90.00
_cell_angle_beta 90.00
_cell_angle_gamma 120.00
loop_
_space_group_symop_operation_xyz
'x,y,z'
'-y,x-y,z'
'-x+y,-x,z'
'-y,-x,-z'
'-x+y,y,-z'
'x,x-y,-z'
loop_
_atom_site_label
_atom_site_fract_x
_atom_site_fract_y
_atom_site_fract_z
K1 0.0000 0.0000 0.0000
U1 0.3333 0.6667 0.5000
Si1 0.6667 0.3333 0.5000
O1 0.3950 0.0385 0.6719
```

Principal peaks in the range 2θ from 10° to 90°, in order of rising 2θ:
2theta  intensity
14.73  67
19.64  49
24.64  100
34.36  24
35.86  26
37.57  25
42.74  23
46.05  34
49.74  15
55.95  23


# K3U3Si2O13
Calculated X-ray powder pattern, Cu Kα (λ = 1.5418 Å). Input: a GGA-PBE-relaxed structure.

Structural model:
```
data_K3U3Si2O13
_chemical_formula_sum 'K6 U6 Si4 O26'
_space_group_name_H-M_alt 'P -6 2 c'
_space_group_IT_number 190
_space_group_name_Hall 'P -6c -2c'
_cell_length_a 9.6655
_cell_length_b 9.6655
_cell_length_c 8.4568
_cell_angle_alpha 90.00
_cell_angle_beta 90.00
_cell_angle_gamma 120.00
loop_
_atom_site_label
_atom_site_fract_x
_atom_site_fract_y
_atom_site_fract_z
K1 0.0438 0.6172 0.2500
U1 0.0000 0.2437 0.0000
Si1 0.3333 0.6667 0.5549
O1 0.9996 0.2524 0.2500
O2 0.0000 0.8090 0.0000
O3 0.1798 0.5019 0.0089
O4 0.3333 0.6667 0.7500
```

Principal peaks in the range 2θ from 10° to 90°, in order of rising 2θ:
2theta  intensity
10.57  46
18.36  75
21.01  47
23.57  25
28.04  73
28.21  100
35.44  53
48.54  33
52.02  36
52.32  27


# K2YSiO4
Calculated X-ray powder pattern, Cu Kα (λ = 1.5418 Å). Input: a GGA-PBE-relaxed structure.

Structural model:
```
data_K2YSiO4
_chemical_formula_sum 'K16 Y8 Si8 O32'
_space_group_name_H-M_alt 'F d d d'
_space_group_IT_number 70
_cell_length_a 5.6488
_cell_length_b 12.4583
_cell_length_c 22.9441
_cell_angle_alpha 90.00
_cell_angle_beta 90.00
_cell_angle_gamma 90.00
loop_
_space_group_symop_operation_xyz
'x,y,z'
'-x,-y,-z'
'-x+1/4,-y+1/4,z'
'x+1/4,y+1/4,-z'
'x,-y+1/4,-z+1/4'
'-x,y+1/4,z+1/4'
'-x+1/4,y,-z+1/4'
'x+1/4,-y,z+1/4'
'x,y+1/2,z+1/2'
'-x,-y+1/2,-z+1/2'
'-x+1/4,-y+3/4,z+1/2'
'x+1/4,y+3/4,-z+1/2'
'x,-y+3/4,-z+3/4'
'-x,y+3/4,z+3/4'
'-x+1/4,y+1/2,-z+3/4'
'x+1/4,-y+1/2,z+3/4'
'x+1/2,y,z+1/2'
'-x+1/2,-y,-z+1/2'
'-x+3/4,-y+1/4,z+1/2'
'x+3/4,y+1/4,-z+1/2'
'x+1/2,-y+1/4,-z+3/4'
'-x+1/2,y+1/4,z+3/4'
'-x+3/4,y,-z+3/4'
'x+3/4,-y,z+3/4'
'x+1/2,y+1/2,z'
'-x+1/2,-y+1/2,-z'
'-x+3/4,-y+3/4,z'
'x+3/4,y+3/4,-z'
'x+1/2,-y+3/4,-z+1/4'
'-x+1/2,y+3/4,z+1/4'
'-x+3/4,y+1/2,-z+1/4'
'x+3/4,-y+1/2,z+1/4'
loop_
_atom_site_label
_atom_site_fract_x
_atom_site_fract_y
_atom_site_fract_z
K1 0.1250 0.1250 0.3099
Y1 0.1250 0.1250 0.1250
Si1 0.1250 0.1250 0.6250
O1 0.0618 0.2953 0.8386
```

Principal peaks in the range 2θ from 10° to 90°, in order of rising 2θ:
2theta  intensity
15.45  100
16.19  68
17.67  22
26.93  23
27.37  71
28.66  26
33.14  42
34.88  31
39.69  28
49.67  24